Structure and simulated X-ray powder pattern of MnCrSi2 (a structure optimized by DFT (GGA-PBE); a wavelength of 1.5418 Å).

Cell and atoms:
abc: 4.543 4.561 4.555
angles: 90.00 90.77 90.00
Space group P2_1 (No. 4)
One atom of each set of equivalent atoms:
Mn 0.141 0.000 0.385 (multiplicity 2)
Cr 0.365 0.275 0.890 (multiplicity 2)
Si 0.149 0.791 0.900 (multiplicity 2)
Si 0.341 0.485 0.404 (multiplicity 2)

Largest 12 diffraction maxima, low angle first, 5° ≤ 2θ ≤ 70°:
2theta  I (rel.)
27.70  30
33.95  23
34.27  22
39.55  10
44.26  50
44.44  100
44.56  82
44.77  42
48.82  70
49.08  24
49.27  49
68.15  10